Starting from the PBE geometry in OQMD, the XRD peak list of ZrScCoB was computed for Cu Kα (weighted mean of Kα1 and Kα2).
Kinematic intensities with the Lorentz-polarization factor, no thermal factor.

Main lines, by angle (2θ = 5–70°):
index	2theta	d (Å)	intensity
1 1 1	25.6	3.478	46
2 2 0	42.4	2.130	100
3 1 1	50.2	1.816	22
4 0 0	61.6	1.506	15
3 3 1	67.8	1.382	9

Cell and atoms:
```
data_ZrScCoB
_chemical_formula_sum 'Zr4 Sc4 Co4 B4'
_space_group_name_H-M_alt 'P 1'
_space_group_IT_number 1
_cell_length_a 6.024
_cell_length_b 6.024
_cell_length_c 6.024
_cell_angle_alpha 90.00
_cell_angle_beta 90.00
_cell_angle_gamma 90.00
loop_
_space_group_symop_operation_xyz
'x,y,z'
loop_
_atom_site_label
_atom_site_type_symbol
_atom_site_fract_x
_atom_site_fract_y
_atom_site_fract_z
_atom_site_occupancy
Zr1 Zr 0.000 0.000 0.000 1
Zr2 Zr 0.000 0.500 0.500 1
Zr3 Zr 0.500 0.000 0.500 1
Zr4 Zr 0.500 0.500 0.000 1
Sc1 Sc 0.250 0.250 0.250 1
Sc2 Sc 0.250 0.750 0.750 1
Sc3 Sc 0.750 0.250 0.750 1
Sc4 Sc 0.750 0.750 0.250 1
Co1 Co 0.250 0.250 0.750 1
Co2 Co 0.250 0.750 0.250 1
Co3 Co 0.750 0.250 0.250 1
Co4 Co 0.750 0.750 0.750 1
B1 B 0.000 0.000 0.500 1
B2 B 0.000 0.500 0.000 1
B3 B 0.500 0.000 0.000 1
B4 B 0.500 0.500 0.500 1
```